This entry pairs a crystal structure of La2NdDyBi4 with its theoretical XRD peak list. Radiation: Cu Kα X-rays. Structure: the PBE geometry in Alexandria.

```
La2NdDyBi4
1.0
8.0034 0.0000 0.0000
0.0000 4.6319 0.0000
-2.6769 0.0000 7.5546
La Nd Dy Bi
2 1 1 4
Direct
0.0000 0.0000 0.0000
0.0000 0.5000 0.5000
0.5000 0.0000 0.5000
0.5000 0.5000 0.0000
0.2571 0.5000 0.2485
0.2599 0.0000 0.7571
0.7401 0.0000 0.2429
0.7429 0.5000 0.7515
```

Principal peaks in the range 15 to 90 degrees two-theta, low angle first:
(hkl), 2theta, I_rel
1 1 1, 27.26, 100
0 2 0, 38.94, 79
2 2 -2, 48.16, 22
4 0 0, 48.25, 7
2 2 2, 56.24, 14
1 3 1, 63.58, 25
5 1 -3, 63.65, 12
1 3 -3, 70.48, 21
6 0 -2, 70.61, 7
2 4 -2, 89.92, 11